No. 1
Diffraction record for Li3Al6Pd2. The powder XRD pattern is calculated, not measured: it uses the PBE geometry in Alexandria and Cu Kα (λ = 1.5418 Å).
Intensities are scaled so that the largest is 100.

Principal peaks in the range 2θ = 10–90°, in order of rising 2θ:
2theta	I_rel
19.60	100
23.80	26
29.39	27
31.46	15
36.03	20
41.22	15
41.64	23
42.82	13
42.96	16
44.62	28

Structure:
Cell lengths 5.1207, 5.1325, 7.5315 Å; angles 93.41, 93.67, 117.37 degrees
Element x y z (fractional)
Li  0.0000  0.0000  0.0000
Li  0.0391  0.0348  0.6651
Li  0.9609  0.9652  0.3349
Al  0.0725  0.5560  0.8286
Al  0.3355  0.6655  0.5004
Al  0.4411  0.9322  0.1743
Al  0.5589  0.0678  0.8257
Al  0.6645  0.3345  0.4996
Al  0.9275  0.4440  0.1714
Pd  0.4384  0.4422  0.2091
Pd  0.5616  0.5578  0.7909

No. 2
Diffraction record for Li2Al4Pd3. The powder XRD pattern is calculated, not measured: it uses the PBE geometry in Alexandria and Cu Kα (λ = 1.5418 Å).
Intensities are scaled so that the largest is 100.

Principal peaks in the range 2θ = 10–90°, in order of rising 2θ:
2theta	I_rel
20.96	77
26.08	67
29.84	14
39.51	32
41.75	55
42.84	100
47.19	17
56.41	14
60.51	18
76.95	17

Structure:
Cell lengths 8.7465, 8.7465, 4.3241 Å; angles 104.20, 104.20, 59.36 degrees
Element x y z (fractional)
Li  0.0730  0.3369  0.4538
Li  0.3369  0.0730  0.9538
Li  0.6631  0.9270  0.0462
Li  0.9270  0.6631  0.5462
Al  0.0358  0.7606  0.1486
Al  0.2394  0.9642  0.3514
Al  0.2880  0.5255  0.6556
Al  0.4745  0.7120  0.8444
Al  0.5255  0.2880  0.1556
Al  0.7120  0.4745  0.3444
Al  0.7606  0.0358  0.6486
Al  0.9642  0.2394  0.8514
Pd  0.1187  0.8813  0.7500
Pd  0.1884  0.4245  0.0558
Pd  0.4245  0.1884  0.5558
Pd  0.5755  0.8116  0.4442
Pd  0.8116  0.5755  0.9442
Pd  0.8813  0.1187  0.2500

No. 3
Diffraction record for Li2Al2Pd7. The powder XRD pattern is calculated, not measured: it uses the PBE geometry in Alexandria and Cu Kα (λ = 1.5418 Å).
Intensities are scaled so that the largest is 100.

Principal peaks in the range 2θ = 10–90°, in order of rising 2θ:
2theta	I_rel
22.99	16
24.34	32
27.68	18
32.74	27
36.28	18
37.93	17
40.63	38
42.98	100
46.98	17
75.56	17

Structure:
Cell lengths 7.9571, 7.9571, 2.8752 Å; angles 100.35, 100.35, 67.85 degrees
Element x y z (fractional)
Li  0.2043  0.2043  0.2058
Li  0.7957  0.7957  0.7942
Al  0.2526  0.7474  0.0000
Al  0.7474  0.2526  0.0000
Pd  0.0000  0.0000  0.5000
Pd  0.0788  0.6035  0.3397
Pd  0.3890  0.3890  0.8861
Pd  0.3965  0.9212  0.6603
Pd  0.6035  0.0788  0.3397
Pd  0.6110  0.6110  0.1139
Pd  0.9212  0.3965  0.6603

No. 4
Diffraction record for LiPmAlPd2. The powder XRD pattern is calculated, not measured: it uses the PBE geometry in Alexandria and Cu Kα (λ = 1.5418 Å).
Intensities are scaled so that the largest is 100.

Principal peaks in the range 2θ = 10–90°, in order of rising 2θ:
2theta	I_rel
14.75	42
31.76	100
31.91	75
35.32	44
44.07	64
45.75	39
56.77	38
65.40	39
75.82	20
80.18	13

Structure:
Cell lengths 3.9662, 3.9662, 12.0120 Å; angles 90.00, 90.00, 90.00 degrees
Element x y z (fractional)
Li  0.0000  0.0000  0.0000
Li  0.5000  0.5000  0.5000
Pm  0.0000  0.5000  0.2500
Pm  0.5000  0.0000  0.7500
Al  0.0000  0.0000  0.5000
Al  0.5000  0.5000  0.0000
Pd  0.0000  0.5000  0.6351
Pd  0.0000  0.5000  0.8649
Pd  0.5000  0.0000  0.1351
Pd  0.5000  0.0000  0.3649

No. 5
Diffraction record for Li2Sc2AlPd5. The powder XRD pattern is calculated, not measured: it uses the PBE geometry in Alexandria and Cu Kα (λ = 1.5418 Å).
Intensities are scaled so that the largest is 100.

Principal peaks in the range 2θ = 10–90°, in order of rising 2θ:
2theta	I_rel
26.11	67
29.82	33
33.72	42
34.11	31
39.20	69
40.04	100
43.46	44
47.71	28
68.49	25
76.34	25

Structure:
Cell lengths 9.4761, 9.4761, 3.4125 Å; angles 90.00, 90.00, 90.00 degrees
Element x y z (fractional)
Li  0.1248  0.3752  0.0000
Li  0.3752  0.8752  0.0000
Li  0.6248  0.1248  0.0000
Li  0.8752  0.6248  0.0000
Sc  0.1745  0.6745  0.0000
Sc  0.3255  0.1745  0.0000
Sc  0.6745  0.8255  0.0000
Sc  0.8255  0.3255  0.0000
Al  0.0000  0.0000  0.0000
Al  0.5000  0.5000  0.0000
Pd  0.0000  0.5000  0.5000
Pd  0.0681  0.2012  0.5000
Pd  0.2012  0.9319  0.5000
Pd  0.2988  0.4319  0.5000
Pd  0.4319  0.7012  0.5000
Pd  0.5000  0.0000  0.5000
Pd  0.5681  0.2988  0.5000
Pd  0.7012  0.5681  0.5000
Pd  0.7988  0.0681  0.5000
Pd  0.9319  0.7988  0.5000

No. 6
Diffraction record for Li2Pm3Al4. The powder XRD pattern is calculated, not measured: it uses the PBE geometry in Alexandria and Cu Kα (λ = 1.5418 Å).
Intensities are scaled so that the largest is 100.

Principal peaks in the range 2θ = 10–90°, in order of rising 2θ:
2theta	I_rel
21.54	100
25.47	17
33.22	18
33.44	38
33.78	37
33.90	18
37.72	32
37.85	18
51.23	11
51.71	11

Structure:
Cell lengths 5.9644, 5.9644, 8.9154 Å; angles 114.75, 114.75, 46.97 degrees
Element x y z (fractional)
Li  0.0800  0.0800  0.2504
Li  0.9200  0.9200  0.7496
Pm  0.1778  0.1778  0.6535
Pm  0.5000  0.5000  0.0000
Pm  0.8222  0.8222  0.3465
Al  0.2401  0.2401  0.0730
Al  0.4755  0.4755  0.6330
Al  0.5245  0.5245  0.3670
Al  0.7599  0.7599  0.9270

No. 7
Diffraction record for Li2Pm3Al7. The powder XRD pattern is calculated, not measured: it uses the PBE geometry in Alexandria and Cu Kα (λ = 1.5418 Å).
Intensities are scaled so that the largest is 100.

Principal peaks in the range 2θ = 10–90°, in order of rising 2θ:
2theta	I_rel
10.05	31
18.51	100
29.96	100
31.81	75
32.78	66
37.05	54
37.96	82
55.52	36
57.29	25
62.25	34

Structure:
Cell lengths 9.3792, 9.3792, 9.3792 Å; angles 34.91, 34.91, 34.91 degrees
Element x y z (fractional)
Li  0.1648  0.1648  0.1648
Li  0.8352  0.8352  0.8352
Pm  0.3596  0.3596  0.3596
Pm  0.5000  0.5000  0.5000
Pm  0.6404  0.6404  0.6404
Al  0.0000  0.0000  0.0000
Al  0.0848  0.0848  0.5756
Al  0.0848  0.5756  0.0848
Al  0.4244  0.9152  0.9152
Al  0.5756  0.0848  0.0848
Al  0.9152  0.4244  0.9152
Al  0.9152  0.9152  0.4244

No. 8
Diffraction record for LiPm2Al9. The powder XRD pattern is calculated, not measured: it uses the PBE geometry in Alexandria and Cu Kα (λ = 1.5418 Å).
Intensities are scaled so that the largest is 100.

Principal peaks in the range 2θ = 10–90°, in order of rising 2θ:
2theta	I_rel
10.12	100
22.62	53
30.00	39
31.55	45
32.85	23
33.21	38
36.75	21
37.81	49
39.17	29
42.13	26

Structure:
Cell lengths 9.3354, 9.3354, 9.3354 Å; angles 35.37, 35.37, 35.37 degrees
Element x y z (fractional)
Li  0.0000  0.0000  0.0000
Pm  0.1411  0.1411  0.1411
Pm  0.8589  0.8589  0.8589
Al  0.0752  0.5879  0.5879
Al  0.3353  0.3353  0.3353
Al  0.4121  0.4121  0.9248
Al  0.4121  0.9248  0.4121
Al  0.5000  0.5000  0.5000
Al  0.5879  0.0752  0.5879
Al  0.5879  0.5879  0.0752
Al  0.6647  0.6647  0.6647
Al  0.9248  0.4121  0.4121

No. 9
Diffraction record for LiPm2AlPt2. The powder XRD pattern is calculated, not measured: it uses the PBE geometry in Alexandria and Cu Kα (λ = 1.5418 Å).
Intensities are scaled so that the largest is 100.

Principal peaks in the range 2θ = 10–90°, in order of rising 2θ:
2theta	I_rel
24.20	93
30.27	100
30.59	86
32.52	83
39.13	70
39.38	61
42.83	61
43.58	81
50.47	51
67.55	38

Structure:
Cell lengths 8.4476, 8.4476, 8.4476 Å; angles 139.52, 58.91, 139.09 degrees
Element x y z (fractional)
Li  0.2500  0.2500  0.0000
Li  0.7500  0.7500  0.0000
Pm  0.1700  0.2231  0.3931
Pm  0.3300  0.7231  0.0531
Pm  0.6700  0.2769  0.9469
Pm  0.8300  0.7769  0.6069
Al  0.2500  0.7500  0.5000
Al  0.7500  0.2500  0.5000
Pt  0.1187  0.7232  0.8418
Pt  0.3813  0.2232  0.6045
Pt  0.6187  0.7768  0.3955
Pt  0.8813  0.2768  0.1582

No. 10
Diffraction record for LiPmAlSi2. The powder XRD pattern is calculated, not measured: it uses the PBE geometry in Alexandria and Cu Kα (λ = 1.5418 Å).
Intensities are scaled so that the largest is 100.

Principal peaks in the range 2θ = 10–90°, in order of rising 2θ:
2theta	I_rel
16.27	62
23.12	74
30.75	51
32.90	100
34.98	88
44.05	35
47.22	59
50.32	21
56.06	49
66.55	36

Structure:
Cell lengths 4.1116, 4.1116, 10.8952 Å; angles 90.00, 90.00, 90.00 degrees
Element x y z (fractional)
Li  0.0000  0.0000  0.0000
Li  0.5000  0.5000  0.5000
Pm  0.0000  0.5000  0.2500
Pm  0.5000  0.0000  0.7500
Al  0.0000  0.0000  0.5000
Al  0.5000  0.5000  0.0000
Si  0.0000  0.5000  0.6405
Si  0.0000  0.5000  0.8595
Si  0.5000  0.0000  0.1405
Si  0.5000  0.0000  0.3595

No. 11
Diffraction record for LiPm2Al4Zn3. The powder XRD pattern is calculated, not measured: it uses the PBE geometry in Alexandria and Cu Kα (λ = 1.5418 Å).
Intensities are scaled so that the largest is 100.

Principal peaks in the range 2θ = 10–90°, in order of rising 2θ:
2theta	I_rel
16.56	25
22.44	35
29.62	46
32.71	91
34.12	100
42.39	52
47.50	43
54.55	42
65.54	32
72.24	22

Structure:
Cell lengths 4.2646, 4.2646, 10.7096 Å; angles 90.00, 90.00, 90.00 degrees
Element x y z (fractional)
Li  0.0000  0.0000  0.0000
Pm  0.0000  0.5000  0.7474
Pm  0.5000  0.0000  0.2526
Al  0.0000  0.0000  0.5000
Al  0.0000  0.5000  0.1313
Al  0.5000  0.0000  0.8687
Al  0.5000  0.5000  0.5000
Zn  0.0000  0.5000  0.3621
Zn  0.5000  0.0000  0.6379
Zn  0.5000  0.5000  0.0000

No. 12
Diffraction record for Li2Pr2Al15. The powder XRD pattern is calculated, not measured: it uses the PBE geometry in Alexandria and Cu Kα (λ = 1.5418 Å).
Intensities are scaled so that the largest is 100.

Principal peaks in the range 2θ = 10–90°, in order of rising 2θ:
2theta	I_rel
12.58	63
22.64	30
27.13	79
29.55	30
32.76	41
34.11	32
38.01	50
38.38	100
39.20	26
55.12	27

Structure:
Cell lengths 7.1228, 7.1228, 7.1228 Å; angles 83.32, 83.32, 83.32 degrees
Element x y z (fractional)
Li  0.0998  0.0998  0.0998
Li  0.9002  0.9002  0.9002
Pr  0.3513  0.3513  0.3513
Pr  0.6487  0.6487  0.6487
Al  0.0000  0.0000  0.5000
Al  0.0000  0.2945  0.7055
Al  0.0000  0.5000  0.0000
Al  0.0000  0.7055  0.2945
Al  0.1543  0.6504  0.6504
Al  0.2945  0.0000  0.7055
Al  0.2945  0.7055  0.0000
Al  0.3496  0.3496  0.8457
Al  0.3496  0.8457  0.3496
Al  0.5000  0.0000  0.0000
Al  0.6504  0.1543  0.6504
Al  0.6504  0.6504  0.1543
Al  0.7055  0.0000  0.2945
Al  0.7055  0.2945  0.0000
Al  0.8457  0.3496  0.3496

No. 13
Diffraction record for Li7PrAl5. The powder XRD pattern is calculated, not measured: it uses the PBE geometry in Alexandria and Cu Kα (λ = 1.5418 Å).
Intensities are scaled so that the largest is 100.

Principal peaks in the range 2θ = 10–90°, in order of rising 2θ:
2theta	I_rel
13.41	100
18.84	66
26.84	49
26.98	78
33.01	18
35.62	19
38.17	22
38.31	45
38.42	25
38.55	25

Structure:
Cell lengths 7.1427, 7.1427, 7.1427 Å; angles 135.11, 98.89, 97.87 degrees
Element x y z (fractional)
Li  0.0000  0.0000  0.0000
Li  0.2909  0.6433  0.6476
Li  0.2990  0.2990  0.0000
Li  0.4326  0.9326  0.5000
Li  0.4356  0.1478  0.2878
Li  0.8601  0.1478  0.7122
Li  0.9957  0.6433  0.3524
Pr  0.6492  0.6492  0.0000
Al  0.1468  0.1455  0.4979
Al  0.1468  0.6489  0.0013
Al  0.6476  0.1455  0.9987
Al  0.6476  0.6489  0.5021
Al  0.8531  0.3531  0.5000